GdCo4B: theoretical powder XRD pattern (Cu Kα (weighted mean of Kα1 and Kα2)), based on a GGA-PBE-relaxed structure.
No peak broadening, texture or thermal motion is included.

Peak list (10 most intense, 2θ = 5–70°, in order of rising 2θ)
2θ (°)	d/Å	intensity	(hkl)
20.36	4.362	15	1 0 0
33.37	2.685	89	1 0 2
35.65	2.518	33	1 1 0
38.10	2.362	10	1 1 1
39.68	2.271	10	0 0 3
41.40	2.181	76	2 0 0
44.75	2.025	100	1 1 2
53.82	1.703	13	0 0 4
62.60	1.484	29	2 1 2
66.24	1.411	14	1 1 4

Structural model:
abc: 5.0366 5.0366 6.8136
angles: 90.00 90.00 120.00
Space group P6/mmm (No. 191)
Inequivalent atoms, fractional coordinates:
Gd: 0.0000 0.0000 0.0000
Gd: 0.0000 0.0000 0.5000
Co: 0.0000 0.5000 0.2112
Co: 0.3333 0.6667 0.5000
B: 0.3333 0.6667 0.0000

Ce2ThS3: theoretical powder XRD pattern (Cu Kα (weighted mean of Kα1 and Kα2)), based on a GGA-PBE-relaxed structure.
No peak broadening, texture or thermal motion is included.

Peak list (10 most intense, 2θ = 5–70°, in order of rising 2θ)
2θ (°)	d/Å	intensity	(hkl)
8.98	9.846	9	0 0 1
25.51	3.492	3	1 0 0
27.11	3.289	86	1 0 1
31.41	2.848	100	0 1 2
45.01	2.014	72	1 1 0
53.32	1.718	32	1 1 3
53.42	1.715	11	0 1 5
55.87	1.646	19	2 0 2
56.04	1.641	6	0 0 6
65.55	1.424	12	0 2 4

Structural model:
abc: 4.0320 4.0320 9.8461
angles: 90.00 90.00 120.00
Space group P-3m1 (No. 164)
Inequivalent atoms, fractional coordinates:
Ce: 0.3333 0.6667 0.1665
Th: 0.0000 0.0000 0.5000
S: 0.0000 0.0000 0.0000
S: 0.3333 0.6667 0.6683

NdRh: theoretical powder XRD pattern (Cu Kα (weighted mean of Kα1 and Kα2)), based on a GGA-PBE-relaxed structure.
No peak broadening, texture or thermal motion is included.

Peak list (10 most intense, 2θ = 5–70°, in order of rising 2θ)
2θ (°)	d/Å	intensity	(hkl)
31.82	2.812	100	1 1 1
32.58	2.748	30	0 4 0
33.21	2.697	26	1 3 0
39.02	2.308	23	0 4 1
39.56	2.278	59	1 3 1
42.49	2.127	26	0 0 2
45.51	1.993	21	2 0 0
54.55	1.682	19	0 4 2
63.70	1.461	13	1 7 0
64.02	1.454	15	2 0 2

Structural model:
abc: 3.9859 10.9919 4.2547
angles: 90.00 90.00 90.00
Space group Cmcm (No. 63)
Inequivalent atoms, fractional coordinates:
Nd: 0.0000 0.1417 0.2500
Rh: 0.0000 0.4152 0.2500

RbSb2: theoretical powder XRD pattern (Cu Kα (weighted mean of Kα1 and Kα2)), based on a GGA-PBE-relaxed structure.
No peak broadening, texture or thermal motion is included.

Peak list (10 most intense, 2θ = 5–70°, in order of rising 2θ)
2θ (°)	d/Å	intensity	(hkl)
12.86	6.884	41	2 0 0
14.47	6.122	40	2 0 -1
25.05	3.556	77	1 1 1
25.44	3.501	38	4 0 -1
28.67	3.114	40	3 1 0
29.41	3.037	70	1 1 -2
30.33	2.947	58	4 0 1
32.77	2.733	100	3 1 -2
40.26	2.240	36	1 1 3
42.66	2.119	38	0 2 0

Structural model:
abc: 14.1975 4.2386 8.7243
angles: 90.00 104.14 90.00
Space group C2/m (No. 12)
Inequivalent atoms, fractional coordinates:
Rb: 0.1647 0.0000 0.1978
Sb: 0.0653 0.5000 0.8136
Sb: 0.0952 0.0000 0.6075

BaIn2: theoretical powder XRD pattern (Cu Kα (weighted mean of Kα1 and Kα2)), based on a GGA-PBE-relaxed structure.
No peak broadening, texture or thermal motion is included.

Peak list (10 most intense, 2θ = 5–70°, in order of rising 2θ)
2θ (°)	d/Å	intensity	(hkl)
28.42	3.140	100	1 2 1
29.09	3.070	21	0 2 2
32.69	2.740	27	0 3 1
33.54	2.672	31	2 0 0
35.19	2.550	40	1 0 3
41.13	2.195	11	1 3 2
44.98	2.015	13	2 2 2
47.54	1.913	18	2 3 1
55.61	1.653	20	1 3 4
56.87	1.619	14	3 2 1

Structural model:
abc: 5.3437 8.6586 8.7066
angles: 90.00 90.00 90.00
Space group Imma (No. 74)
Inequivalent atoms, fractional coordinates:
Ba: 0.0000 0.2500 0.0486
In: 0.0000 0.0679 0.6618

MoIr4: theoretical powder XRD pattern (Cu Kα (weighted mean of Kα1 and Kα2)), based on a GGA-PBE-relaxed structure.
No peak broadening, texture or thermal motion is included.

Peak list (10 most intense, 2θ = 5–70°, in order of rising 2θ)
2θ (°)	d/Å	intensity	(hkl)
7.82	11.306	16	0 0 3
15.68	5.653	3	0 0 6
23.61	3.769	2	0 0 9
38.18	2.357	1	0 1 2
39.32	2.292	1	1 0 4
39.87	2.261	34	0 0 15
40.15	2.246	100	0 1 5
46.62	1.948	65	1 0 10
67.86	1.381	21	0 1 20
68.25	1.374	21	1 1 0

Structural model:
abc: 2.7484 2.7484 33.9183
angles: 90.00 90.00 120.00
Space group R-3m (No. 166, hexagonal axes)
Inequivalent atoms, fractional coordinates:
Mo: 0.0000 0.0000 0.0000
Ir: 0.0000 0.0000 0.1993
Ir: 0.0000 0.0000 0.3997